The following is a theoretical X-ray powder pattern of NaBrO3. It was derived from a cell relaxed with GGA-PBE, using Cu Kα (λ = 1.5418 Å).
No peak broadening, texture or thermal motion is included.

Most intense lines, 10 to 80 degrees two-theta, in order of rising 2θ:
16.11 deg, I = 83, (1 1 0)
19.77 deg, I = 57, (1 1 1)
22.86 deg, I = 100, (2 0 0)
25.61 deg, I = 89, (2 0 1)
28.10 deg, I = 24, (2 1 1)
32.56 deg, I = 38, (2 2 0)
34.59 deg, I = 26, (2 2 1)
43.53 deg, I = 49, (3 1 2)
48.23 deg, I = 25, (4 0 1)
54.02 deg, I = 20, (4 2 1)
60.70 deg, I = 25, (5 1 0)
64.51 deg, I = 17, (4 3 2)

```
data_NaBrO3
_symmetry_space_group_name_H-M 'P 21 3'
_symmetry_Int_Tables_number 198
_symmetry_space_group_name_Hall 'P 2ac 2ab 3'
_cell_length_a 7.779
_cell_length_b 7.779
_cell_length_c 7.779
_cell_angle_alpha 90.00
_cell_angle_beta 90.00
_cell_angle_gamma 90.00
loop_
_atom_site_label
_atom_site_fract_x
_atom_site_fract_y
_atom_site_fract_z
_atom_site_occupancy
Na1 0.001 0.001 0.001 1
Br1 0.051 0.551 0.949 1
O1 0.048 0.109 0.735 1
```


The following is a theoretical X-ray powder pattern of Na3BrO. It was derived from a cell relaxed with GGA-PBE, using Cu Kα (λ = 1.5418 Å).
No peak broadening, texture or thermal motion is included.

Most intense lines, 10 to 80 degrees two-theta, in order of rising 2θ:
19.29 deg, I = 25, (1 0 0)
27.41 deg, I = 76, (1 1 0)
33.74 deg, I = 100, (1 1 1)
39.15 deg, I = 75, (2 0 0)
44.00 deg, I = 13, (2 1 0)
48.46 deg, I = 29, (2 1 1)
56.57 deg, I = 47, (2 2 0)
60.34 deg, I = 7, (3 0 0)
63.98 deg, I = 12, (3 1 0)
67.51 deg, I = 38, (3 1 1)
70.95 deg, I = 15, (2 2 2)
77.64 deg, I = 14, (3 2 1)

```
data_Na3BrO
_symmetry_space_group_name_H-M 'P m -3 m'
_symmetry_Int_Tables_number 221
_symmetry_space_group_name_Hall '-P 4 2 3'
_cell_length_a 4.602
_cell_length_b 4.602
_cell_length_c 4.602
_cell_angle_alpha 90.00
_cell_angle_beta 90.00
_cell_angle_gamma 90.00
loop_
_atom_site_label
_atom_site_fract_x
_atom_site_fract_y
_atom_site_fract_z
_atom_site_occupancy
Na1 0.000 0.000 0.500 1
Br1 0.500 0.500 0.500 1
O1 0.000 0.000 0.000 1
```


The following is a theoretical X-ray powder pattern of NaBrO3. It was derived from a cell relaxed with GGA-PBE, using Cu Kα (λ = 1.5418 Å).
No peak broadening, texture or thermal motion is included.

Most intense lines, 10 to 80 degrees two-theta, in order of rising 2θ:
18.40 deg, I = 40, (1 1 0)
22.58 deg, I = 30, (1 1 1)
26.13 deg, I = 21, (2 0 0)
29.28 deg, I = 100, (2 0 1)
32.15 deg, I = 34, (2 1 1)
39.65 deg, I = 11, (2 2 1)
44.04 deg, I = 11, (3 1 1)
50.04 deg, I = 48, (3 2 1)
59.04 deg, I = 10, (3 3 1)
62.40 deg, I = 15, (4 1 2)
70.39 deg, I = 19, (4 1 3)
75.00 deg, I = 13, (5 2 0)

```
data_NaBrO3
_symmetry_space_group_name_H-M 'P 21 3'
_symmetry_Int_Tables_number 198
_symmetry_space_group_name_Hall 'P 2ac 2ab 3'
_cell_length_a 6.820
_cell_length_b 6.820
_cell_length_c 6.820
_cell_angle_alpha 90.00
_cell_angle_beta 90.00
_cell_angle_gamma 90.00
loop_
_atom_site_label
_atom_site_fract_x
_atom_site_fract_y
_atom_site_fract_z
_atom_site_occupancy
Na1 0.078 0.078 0.078 1
Br1 0.096 0.596 0.904 1
O1 0.002 0.215 0.401 1
```


The following is a theoretical X-ray powder pattern of NaBrO3. It was derived from a cell relaxed with GGA-PBE, using Cu Kα (λ = 1.5418 Å).
No peak broadening, texture or thermal motion is included.

Most intense lines, 10 to 80 degrees two-theta, in order of rising 2θ:
18.32 deg, I = 86, (1 1 1)
21.65 deg, I = 46, (1 -1 1)
24.60 deg, I = 95, (1 0 2)
25.75 deg, I = 100, (0 2 1)
25.98 deg, I = 69, (2 1 0)
26.05 deg, I = 87, (1 0 -2)
26.37 deg, I = 98, (0 2 -1)
27.46 deg, I = 50, (2 1 1)
30.25 deg, I = 46, (2 -1 0)
31.07 deg, I = 59, (1 -2 1)
35.55 deg, I = 53, (1 3 0)
40.77 deg, I = 55, (2 3 1)

```
data_NaBrO3
_symmetry_space_group_name_H-M 'P 1'
_symmetry_Int_Tables_number 1
_cell_length_a 7.124
_cell_length_b 7.686
_cell_length_c 8.166
_cell_angle_alpha 87.44
_cell_angle_beta 85.89
_cell_angle_gamma 78.74
loop_
_symmetry_equiv_pos_as_xyz
'x,y,z'
loop_
_atom_site_label
_atom_site_fract_x
_atom_site_fract_y
_atom_site_fract_z
_atom_site_occupancy
Na1 0.000 0.000 0.000 1
Na2 0.012 0.639 0.477 1
Na3 0.532 0.214 0.498 1
Na4 0.546 0.619 0.939 1
Br1 0.200 0.487 0.129 1
Br2 0.342 0.786 0.639 1
Br3 0.675 0.245 0.834 1
Br4 0.828 0.964 0.334 1
O1 0.020 0.303 0.546 1
O2 0.039 0.156 0.664 1
O3 0.189 0.166 0.517 1
O4 0.271 0.458 0.338 1
O5 0.281 0.829 0.853 1
O6 0.318 0.044 0.176 1
O7 0.469 0.959 0.112 1
O8 0.590 0.597 0.314 1
O9 0.692 0.491 0.406 1
O10 0.811 0.622 0.727 1
O11 0.831 0.758 0.961 1
O12 0.916 0.704 0.816 1
```


The following is a theoretical X-ray powder pattern of NaBrO3. It was derived from a cell relaxed with GGA-PBE, using Cu Kα (λ = 1.5418 Å).
No peak broadening, texture or thermal motion is included.

Most intense lines, 10 to 80 degrees two-theta, in order of rising 2θ:
16.58 deg, I = 29, (1 0 -1)
20.35 deg, I = 84, (1 1 1)
20.42 deg, I = 28, (1 -1 1)
25.97 deg, I = 30, (1 0 2)
26.30 deg, I = 100, (0 2 1)
26.77 deg, I = 64, (2 1 0)
28.57 deg, I = 37, (1 1 -2)
28.93 deg, I = 30, (1 2 -1)
29.04 deg, I = 31, (1 -2 1)
29.24 deg, I = 43, (2 1 -1)
29.34 deg, I = 44, (-2 1 1)
38.80 deg, I = 35, (-1 1 3)

```
data_NaBrO3
_symmetry_space_group_name_H-M 'P 1'
_symmetry_Int_Tables_number 1
_cell_length_a 7.387
_cell_length_b 7.537
_cell_length_c 7.749
_cell_angle_alpha 89.81
_cell_angle_beta 89.95
_cell_angle_gamma 89.70
loop_
_symmetry_equiv_pos_as_xyz
'x,y,z'
loop_
_atom_site_label
_atom_site_fract_x
_atom_site_fract_y
_atom_site_fract_z
_atom_site_occupancy
Na1 0.000 0.000 0.000 1
Na2 0.204 0.501 0.578 1
Na3 0.498 0.241 0.079 1
Na4 0.703 0.741 0.501 1
Br1 0.221 0.005 0.393 1
Br2 0.483 0.737 0.892 1
Br3 0.719 0.238 0.687 1
Br4 0.982 0.507 0.186 1
O1 0.090 0.771 0.745 1
O2 0.115 0.267 0.830 1
O3 0.237 0.091 0.178 1
O4 0.261 0.344 0.869 1
O5 0.441 0.397 0.368 1
O6 0.464 0.653 0.677 1
O7 0.590 0.472 0.334 1
O8 0.609 0.965 0.239 1
O9 0.739 0.154 0.903 1
O10 0.766 0.902 0.214 1
O11 0.939 0.844 0.710 1
O12 0.965 0.589 0.402 1
```


The following is a theoretical X-ray powder pattern of NaBrO3. It was derived from a cell relaxed with GGA-PBE, using Cu Kα (λ = 1.5418 Å).
No peak broadening, texture or thermal motion is included.

Most intense lines, 10 to 80 degrees two-theta, in order of rising 2θ:
16.58 deg, I = 25, (1 1 0)
20.36 deg, I = 100, (1 1 1)
25.97 deg, I = 27, (1 2 0)
26.30 deg, I = 90, (0 1 2)
26.50 deg, I = 25, (1 0 -2)
26.77 deg, I = 58, (2 0 -1)
28.58 deg, I = 43, (1 2 -1)
28.93 deg, I = 27, (1 1 -2)
29.04 deg, I = 28, (1 1 2)
29.24 deg, I = 39, (2 1 -1)
29.34 deg, I = 40, (2 1 1)
38.82 deg, I = 41, (1 3 -1)

```
data_NaBrO3
_symmetry_space_group_name_H-M 'P 1 21 1'
_symmetry_Int_Tables_number 4
_cell_length_a 7.387
_cell_length_b 7.749
_cell_length_c 7.537
_cell_angle_alpha 90.00
_cell_angle_beta 90.30
_cell_angle_gamma 90.00
loop_
_symmetry_equiv_pos_as_xyz
'x,y,z'
'-x,y+1/2,-z'
loop_
_atom_site_label
_atom_site_fract_x
_atom_site_fract_y
_atom_site_fract_z
_atom_site_occupancy
Na1 0.146 0.000 0.129 1
Na2 0.352 0.579 0.630 1
Br1 0.131 0.187 0.633 1
Br2 0.370 0.393 0.137 1
O1 0.090 0.710 0.974 1
O2 0.112 0.402 0.718 1
O3 0.237 0.749 0.897 1
O4 0.261 0.834 0.401 1
O5 0.387 0.177 0.219 1
O6 0.415 0.865 0.468 1
```


The following is a theoretical X-ray powder pattern of Na2TeBr6O6. It was derived from a cell relaxed with GGA-PBE, using Cu Kα (λ = 1.5418 Å).
No peak broadening, texture or thermal motion is included.

Most intense lines, 10 to 80 degrees two-theta, in order of rising 2θ:
12.01 deg, I = 87, (1 1 0)
12.78 deg, I = 37, (2 0 0)
13.11 deg, I = 22, (0 0 1)
13.95 deg, I = 49, (2 0 -1)
24.33 deg, I = 23, (0 2 1)
24.80 deg, I = 42, (2 2 -1)
25.72 deg, I = 21, (4 0 0)
26.41 deg, I = 24, (0 0 2)
28.12 deg, I = 57, (4 0 -2)
30.11 deg, I = 100, (2 2 1)
41.21 deg, I = 32, (6 2 -1)
42.11 deg, I = 30, (2 2 -3)

```
data_Na2TeBr6O6
_symmetry_space_group_name_H-M 'C 1 2 1'
_symmetry_Int_Tables_number 5
_cell_length_a 15.266
_cell_length_b 8.705
_cell_length_c 7.438
_cell_angle_alpha 90.00
_cell_angle_beta 114.82
_cell_angle_gamma 90.00
loop_
_symmetry_equiv_pos_as_xyz
'x,y,z'
'-x,y,-z'
'x+1/2,y+1/2,z'
'-x+1/2,y+1/2,-z'
loop_
_atom_site_label
_atom_site_fract_x
_atom_site_fract_y
_atom_site_fract_z
_atom_site_occupancy
Na1 0.000 0.000 0.000 1
Na2 0.000 0.210 0.500 1
Te1 0.000 0.691 0.500 1
Br1 0.103 0.722 0.281 1
Br2 0.118 0.481 0.734 1
Br3 0.141 0.917 0.782 1
O1 0.068 0.075 0.793 1
O2 0.148 0.146 0.370 1
O3 0.152 0.262 0.277 1
```


The following is a theoretical X-ray powder pattern of Rb2NaTlBr6. It was derived from a cell relaxed with GGA-PBE, using Cu Kα (λ = 1.5418 Å).
No peak broadening, texture or thermal motion is included.

Most intense lines, 10 to 80 degrees two-theta, in order of rising 2θ:
13.46 deg, I = 45, (1 1 1)
15.56 deg, I = 32, (2 0 0)
22.07 deg, I = 33, (2 2 0)
25.94 deg, I = 23, (3 1 1)
27.12 deg, I = 49, (2 2 2)
31.41 deg, I = 100, (4 0 0)
35.23 deg, I = 17, (4 2 0)
38.72 deg, I = 15, (4 2 2)
45.02 deg, I = 72, (4 4 0)
53.35 deg, I = 20, (6 2 2)
55.92 deg, I = 25, (4 4 4)
74.50 deg, I = 32, (8 4 0)

```
data_Rb2NaTlBr6
_symmetry_space_group_name_H-M 'F m -3 m'
_symmetry_Int_Tables_number 225
_symmetry_space_group_name_Hall '-F 4 2 3'
_cell_length_a 11.392
_cell_length_b 11.392
_cell_length_c 11.392
_cell_angle_alpha 90.00
_cell_angle_beta 90.00
_cell_angle_gamma 90.00
loop_
_atom_site_label
_atom_site_fract_x
_atom_site_fract_y
_atom_site_fract_z
_atom_site_occupancy
Rb1 0.250 0.250 0.250 1
Na1 0.000 0.000 0.000 1
Tl1 0.000 0.000 0.500 1
Br1 0.000 0.000 0.256 1
```


The following is a theoretical X-ray powder pattern of Rb2NaYBr6. It was derived from a cell relaxed with GGA-PBE, using Cu Kα (λ = 1.5418 Å).
No peak broadening, texture or thermal motion is included.

Most intense lines, 10 to 80 degrees two-theta, in order of rising 2θ:
13.43 deg, I = 12, (1 1 1)
15.52 deg, I = 11, (2 0 0)
22.02 deg, I = 13, (2 2 0)
27.05 deg, I = 98, (2 2 2)
31.34 deg, I = 100, (4 0 0)
38.63 deg, I = 6, (4 2 2)
44.91 deg, I = 72, (4 4 0)
53.22 deg, I = 42, (6 2 2)
55.78 deg, I = 25, (4 4 4)
65.39 deg, I = 11, (8 0 0)
72.12 deg, I = 17, (6 6 2)
74.30 deg, I = 31, (8 4 0)

```
data_Rb2NaYBr6
_symmetry_space_group_name_H-M 'F m -3 m'
_symmetry_Int_Tables_number 225
_symmetry_space_group_name_Hall '-F 4 2 3'
_cell_length_a 11.417
_cell_length_b 11.417
_cell_length_c 11.417
_cell_angle_alpha 90.00
_cell_angle_beta 90.00
_cell_angle_gamma 90.00
loop_
_atom_site_label
_atom_site_fract_x
_atom_site_fract_y
_atom_site_fract_z
_atom_site_occupancy
Rb1 0.250 0.250 0.250 1
Na1 0.000 0.000 0.000 1
Y1 0.000 0.000 0.500 1
Br1 0.000 0.000 0.255 1
```


The following is a theoretical X-ray powder pattern of NaTc12Br25. It was derived from a cell relaxed with GGA-PBE, using Cu Kα (λ = 1.5418 Å).
No peak broadening, texture or thermal motion is included.

Most intense lines, 10 to 80 degrees two-theta, in order of rising 2θ:
10.53 deg, I = 58, (1 0 1)
10.88 deg, I = 100, (0 1 1)
11.88 deg, I = 87, (0 1 -1)
12.29 deg, I = 29, (1 1 0)
12.52 deg, I = 26, (1 -1 0)
12.78 deg, I = 34, (1 1 1)
13.84 deg, I = 37, (1 0 -1)
23.89 deg, I = 64, (0 2 -2)
32.60 deg, I = 28, (3 1 -1)
33.23 deg, I = 25, (1 3 -2)
33.70 deg, I = 25, (1 2 -3)
39.16 deg, I = 30, (3 2 4)

```
data_NaTc12Br25
_symmetry_space_group_name_H-M 'P -1'
_symmetry_Int_Tables_number 2
_cell_length_a 9.829
_cell_length_b 10.922
_cell_length_c 11.582
_cell_angle_alpha 84.51
_cell_angle_beta 74.25
_cell_angle_gamma 87.52
loop_
_symmetry_equiv_pos_as_xyz
'x,y,z'
'-x,-y,-z'
loop_
_atom_site_label
_atom_site_fract_x
_atom_site_fract_y
_atom_site_fract_z
_atom_site_occupancy
Na1 0.000 0.000 0.000 1
Tc1 0.254 0.120 0.280 1
Tc2 0.268 0.297 0.427 1
Tc3 0.328 0.253 0.123 1
Tc4 0.344 0.428 0.268 1
Tc5 0.433 0.727 0.807 1
Tc6 0.490 0.143 0.353 1
Br1 0.040 0.218 0.410 1
Br2 0.098 0.963 0.234 1
Br3 0.133 0.408 0.602 1
Br4 0.146 0.422 0.170 1
Br5 0.168 0.742 0.880 1
Br6 0.234 0.208 0.948 1
Br7 0.273 0.643 0.317 1
Br8 0.302 0.969 0.591 1
Br9 0.411 0.532 0.718 1
Br10 0.439 0.841 0.980 1
Br11 0.444 0.958 0.259 1
Br12 0.468 0.277 0.521 1
Br13 0.500 0.500 0.000 1
```


The following is a theoretical X-ray powder pattern of Na3TmBr6. It was derived from a cell relaxed with GGA-PBE, using Cu Kα (λ = 1.5418 Å).
No peak broadening, texture or thermal motion is included.

Most intense lines, 10 to 80 degrees two-theta, in order of rising 2θ:
14.07 deg, I = 56, (0 1 1)
14.50 deg, I = 47, (1 0 -2)
16.63 deg, I = 48, (1 1 -1)
26.80 deg, I = 37, (2 1 -2)
27.37 deg, I = 100, (1 0 -4)
28.04 deg, I = 39, (2 1 -1)
30.90 deg, I = 29, (1 2 1)
33.63 deg, I = 28, (2 2 -2)
37.06 deg, I = 43, (1 3 -1)
37.56 deg, I = 28, (2 2 0)
41.99 deg, I = 47, (3 1 -1)
50.03 deg, I = 26, (2 3 -5)

```
data_Na3TmBr6
_symmetry_space_group_name_H-M 'P 1 21/c 1'
_symmetry_Int_Tables_number 14
_cell_length_a 7.375
_cell_length_b 7.710
_cell_length_c 13.154
_cell_angle_alpha 90.00
_cell_angle_beta 124.09
_cell_angle_gamma 90.00
loop_
_symmetry_equiv_pos_as_xyz
'x,y,z'
'-x,-y,-z'
'-x,y+1/2,-z+1/2'
'x,-y+1/2,z+1/2'
loop_
_atom_site_label
_atom_site_fract_x
_atom_site_fract_y
_atom_site_fract_z
_atom_site_occupancy
Na1 0.000 0.000 0.000 1
Na2 0.229 0.062 0.744 1
Tm1 0.500 0.000 0.500 1
Br1 0.126 0.179 0.437 1
Br2 0.255 0.696 0.423 1
Br3 0.396 0.066 0.263 1
```